For CaPmPrMg, a PBE-relaxed structure gives the simulated powder diffractogram in this record (copper Kα).
Peak positions follow from Bragg's law for the DFT cell and can differ from measured ones.

Most intense lines, 5 to 70 degrees two-theta, sorted by position:
- 2θ = 8.97°, I 68
- 2θ = 25.74°, I 34
- 2θ = 30.22°, I 100
- 2θ = 34.31°, I 37
- 2θ = 35.54°, I 12
- 2θ = 36.45°, I 13
- 2θ = 36.59°, I 11
- 2θ = 44.28°, I 11
- 2θ = 49.31°, I 13
- 2θ = 50.92°, I 21
- 2θ = 58.94°, I 29
- 2θ = 62.88°, I 15

Structural model:
```
CaPmPrMg
1.0
3.6958 0.0000 0.0000
0.0000 3.6958 0.0000
0.0000 0.0000 9.8610
Ca Pm Pr Mg
1 1 1 1
Direct
0.0000 0.0000 0.0000
0.0000 0.0000 0.4520
0.5000 0.5000 0.7066
0.5000 0.5000 0.2306
```

For Ca3Pm3MgSe8, a PBE-relaxed structure gives the simulated powder diffractogram in this record (copper Kα).
Peak positions follow from Bragg's law for the DFT cell and can differ from measured ones.

Most intense lines, 5 to 70 degrees two-theta, sorted by position:
- 2θ = 12.87°, I 22
- 2θ = 14.99°, I 9
- 2θ = 21.18°, I 4
- 2θ = 25.07°, I 13
- 2θ = 30.25°, I 100
- 2θ = 39.49°, I 6
- 2θ = 43.12°, I 37
- 2θ = 43.48°, I 36
- 2θ = 45.54°, I 6
- 2θ = 53.27°, I 6
- 2θ = 53.88°, I 19
- 2θ = 62.90°, I 12

Structural model:
```
Ca3Pm3MgSe8
1.0
4.1624 2.4032 6.8791
-4.1624 2.4032 6.8791
0.0000 -4.8063 6.8791
Ca Pm Mg Se
3 3 1 8
Direct
0.0000 0.5000 0.5000
0.5000 0.0000 0.5000
0.5000 0.5000 0.0000
0.0000 0.0000 0.5000
0.0000 0.5000 0.0000
0.5000 0.0000 0.0000
0.5000 0.5000 0.5000
0.2506 0.2506 0.2506
0.2595 0.7391 0.7391
0.2609 0.2609 0.7405
0.2609 0.7405 0.2609
0.7391 0.2595 0.7391
0.7391 0.7391 0.2595
0.7405 0.2609 0.2609
0.7494 0.7494 0.7494
```

For CaTbPrMg, a PBE-relaxed structure gives the simulated powder diffractogram in this record (copper Kα).
Peak positions follow from Bragg's law for the DFT cell and can differ from measured ones.

Most intense lines, 5 to 70 degrees two-theta, sorted by position:
- 2θ = 9.04°, I 74
- 2θ = 25.95°, I 34
- 2θ = 30.46°, I 100
- 2θ = 34.60°, I 37
- 2θ = 35.83°, I 13
- 2θ = 36.73°, I 13
- 2θ = 36.88°, I 13
- 2θ = 44.64°, I 10
- 2θ = 49.73°, I 13
- 2θ = 51.34°, I 20
- 2θ = 59.45°, I 29
- 2θ = 63.43°, I 16

Structural model:
```
CaTbPrMg
1.0
3.6666 0.0000 0.0000
0.0000 3.6666 0.0000
0.0000 0.0000 9.7874
Ca Tb Pr Mg
1 1 1 1
Direct
0.0000 0.0000 0.0000
0.0000 0.0000 0.4508
0.5000 0.5000 0.7026
0.5000 0.5000 0.2343
```

For CaMg5Pt2, a PBE-relaxed structure gives the simulated powder diffractogram in this record (copper Kα).
Peak positions follow from Bragg's law for the DFT cell and can differ from measured ones.

Most intense lines, 5 to 70 degrees two-theta, sorted by position:
- 2θ = 17.64°, I 81
- 2θ = 21.56°, I 57
- 2θ = 23.57°, I 65
- 2θ = 27.99°, I 31
- 2θ = 29.59°, I 100
- 2θ = 35.72°, I 16
- 2θ = 39.04°, I 37
- 2θ = 42.10°, I 31
- 2θ = 42.58°, I 24
- 2θ = 43.18°, I 87
- 2θ = 60.44°, I 16
- 2θ = 61.43°, I 20

Structural model:
```
CaMg5Pt2
1.0
4.2454 0.0000 0.0000
0.0000 8.2451 0.0000
0.0000 0.0000 10.0559
Ca Mg Pt
2 10 4
Direct
0.0000 0.0000 0.0000
0.5000 0.5000 0.5000
0.0000 0.1832 0.3331
0.0000 0.1832 0.6669
0.0000 0.5000 0.0000
0.0000 0.8168 0.3331
0.0000 0.8168 0.6669
0.5000 0.0000 0.5000
0.5000 0.3168 0.1669
0.5000 0.3168 0.8331
0.5000 0.6832 0.1669
0.5000 0.6832 0.8331
0.0000 0.5000 0.2608
0.0000 0.5000 0.7392
0.5000 0.0000 0.2392
0.5000 0.0000 0.7608
```